(1)
Diffraction record for Al11Co2. The powder diffractogram is calculated, not measured: it uses a cell relaxed with PBE and Cu Kα X-rays.
Peak positions follow from Bragg's law for the DFT cell and can differ from measured ones.

Principal peaks in the range 15° ≤ 2θ ≤ 90°, sorted by position:
two_theta	I_rel
19.30	18
33.15	64
34.94	16
38.65	18
39.93	100
42.77	30
44.09	18
44.85	24
46.60	28
48.87	21
63.82	23
69.58	29

Structure:
a b c (Å): 8.7886 8.7886 8.7886
angles (deg): 35.81 35.81 35.81
Element x y z (fractional)
Al1 0.0000 0.0000 0.0000
Al2 0.0770 0.0770 0.5779
Al3 0.0770 0.5779 0.0770
Al4 0.3436 0.3436 0.3436
Al5 0.4221 0.9230 0.9230
Al6 0.4504 0.4504 0.4504
Al7 0.5496 0.5496 0.5496
Al8 0.5779 0.0770 0.0770
Al9 0.6564 0.6564 0.6564
Al10 0.9230 0.4221 0.9230
Al11 0.9230 0.9230 0.4221
Co1 0.1683 0.1683 0.1683
Co2 0.8317 0.8317 0.8317



(2)
Diffraction record for Cs2TePdSe. The powder diffractogram is calculated, not measured: it uses a cell relaxed with PBE and Cu Kα X-rays.
Peak positions follow from Bragg's law for the DFT cell and can differ from measured ones.

Principal peaks in the range 15° ≤ 2θ ≤ 90°, sorted by position:
two_theta	I_rel
24.75	34
26.54	95
27.36	39
29.61	60
32.30	23
32.48	100
32.93	36
43.69	64
45.11	23
52.31	53
53.11	27
53.58	20

Structure:
a b c (Å): 7.1417 7.1417 7.1417
angles (deg): 147.31 78.19 111.29
Element x y z (fractional)
Cs1 0.1940 0.0000 0.1940
Cs2 0.8060 0.0000 0.8060
Te1 0.6940 0.1940 0.5000
Pd1 0.4782 0.4782 0.0000
Se1 0.2799 0.7799 0.5000



(3)
Diffraction record for ZrSi4Ir3. The powder diffractogram is calculated, not measured: it uses a cell relaxed with PBE and Cu Kα X-rays.
Peak positions follow from Bragg's law for the DFT cell and can differ from measured ones.

Principal peaks in the range 15° ≤ 2θ ≤ 90°, sorted by position:
two_theta	I_rel
27.77	32
29.62	100
29.77	27
31.21	25
34.34	32
35.42	43
36.82	29
38.40	55
40.88	31
43.57	30
47.62	27
48.49	31

Structure:
a b c (Å): 5.1690 3.7551 6.5602
angles (deg): 90.00 101.67 90.00
Element x y z (fractional)
Zr1 0.0000 0.0000 0.0000
Si1 0.1208 0.5000 0.6766
Si2 0.5051 0.0000 0.2060
Si3 0.5170 0.0000 0.7240
Si4 0.8613 0.5000 0.2817
Ir1 0.3321 0.5000 0.3657
Ir2 0.4999 0.5000 0.9649
Ir3 0.8393 0.0000 0.5238